Entry 1:
Cu: simulated X-ray diffraction stick pattern (Cu Kα (λ = 1.5418 Å)), based on DFT lattice parameters and positions (PBE).
Neutral-atom scattering factors, no anomalous dispersion.

Atomic structure:
abc: 2.5406 2.5406 24.7439
angles: 90.00 90.00 120.00
Space group P-3m1 (No. 164)
Unique sites:
1 Cu 0.0000 0.0000 0.1258 x2
2 Cu 0.3333 0.6667 0.2102 x2
3 Cu 0.3333 0.6667 0.9580 x2

Largest 10 diffraction maxima, by intensity, 2θ = 10–80°:
2θ 43.66, d 2.073, I 100; 2θ 50.93, d 1.793, I 62; 2θ 10.73, d 8.248, I 56; 2θ 42.52, d 2.126, I 50; 2θ 45.10, d 2.010, I 40; 2θ 48.75, d 1.868, I 37; 2θ 43.91, d 2.062, I 33; 2θ 40.08, d 2.249, I 21; 2θ 53.33, d 1.718, I 20; 2θ 74.73, d 1.270, I 18

---

Entry 2:
CrSbS3: simulated X-ray diffraction stick pattern (Cu Kα (λ = 1.5418 Å)), based on DFT lattice parameters and positions (PBE).
Neutral-atom scattering factors, no anomalous dispersion.

Atomic structure:
abc: 8.879 3.661 12.847
angles: 90.00 90.00 90.00
Space group Pnma (No. 62)
Unique sites:
1 Cr 0.157 0.250 0.044 x4
2 Sb 0.026 0.250 0.660 x4
3 S 0.003 0.750 0.104 x4
4 S 0.173 0.250 0.487 x4
5 S 0.212 0.750 0.709 x4

Largest 10 diffraction maxima, by intensity, 2θ = 10–80°:
2θ 32.46, d 2.759, I 100; 2θ 23.06, d 3.857, I 68; 2θ 29.84, d 2.994, I 38; 2θ 34.47, d 2.602, I 38; 2θ 43.01, d 2.103, I 36; 2θ 17.04, d 5.204, I 31; 2θ 48.67, d 1.871, I 31; 2θ 31.68, d 2.824, I 22; 2θ 49.82, d 1.830, I 22; 2θ 20.00, d 4.440, I 21

---

Please write out number 1 again, unchanged.
Cu: simulated X-ray diffraction stick pattern (Cu Kα (λ = 1.5418 Å)), based on DFT lattice parameters and positions (PBE).
Neutral-atom scattering factors, no anomalous dispersion.

Atomic structure:
abc: 2.5406 2.5406 24.7439
angles: 90.00 90.00 120.00
Space group P-3m1 (No. 164)
Unique sites:
1 Cu 0.0000 0.0000 0.1258 x2
2 Cu 0.3333 0.6667 0.2102 x2
3 Cu 0.3333 0.6667 0.9580 x2

Largest 10 diffraction maxima, by intensity, 2θ = 10–80°:
2θ 43.66, d 2.073, I 100; 2θ 50.93, d 1.793, I 62; 2θ 10.73, d 8.248, I 56; 2θ 42.52, d 2.126, I 50; 2θ 45.10, d 2.010, I 40; 2θ 48.75, d 1.868, I 37; 2θ 43.91, d 2.062, I 33; 2θ 40.08, d 2.249, I 21; 2θ 53.33, d 1.718, I 20; 2θ 74.73, d 1.270, I 18

---

What is the formula in the second record? CrSbS3